No. 1
Diffraction record for Sm4Bi2Pd. The powder diffraction line list is computed, not measured: it uses a crystal structure in Alexandria, relaxed with GGA-PBE and CuKα.
Intensities are scaled so that the largest is 100.

Largest 10 diffraction maxima, by angle, 2θ = 10–90°:
Position (°2θ)	d_spacing	I (rel.)
12.40	7.138	17
23.42	3.798	15
26.41	3.374	100
26.91	3.313	49
34.01	2.636	28
34.23	2.620	32
34.71	2.584	61
41.15	2.193	78
49.82	1.830	19
54.38	1.687	15

Crystal structure
Cell lengths 8.2914, 8.2914, 7.5917 Å; angles 115.74, 115.74, 30.72 degrees
Atoms (fractional coordinates):
Sm 0.1125 0.1125 0.4269
Sm 0.3837 0.3837 0.0208
Sm 0.6163 0.6163 0.9792
Sm 0.8875 0.8875 0.5731
Bi 0.2666 0.2666 0.2668
Bi 0.7334 0.7334 0.7332
Pd 0.0000 0.0000 0.0000

=====

No. 2
Diffraction record for Sr2SmBi3Pd4. The powder diffraction line list is computed, not measured: it uses a crystal structure in Alexandria, relaxed with GGA-PBE and CuKα.
Intensities are scaled so that the largest is 100.

Largest 10 diffraction maxima, by angle, 2θ = 10–90°:
Position (°2θ)	d_spacing	I (rel.)
14.96	5.921	28
20.22	4.393	38
29.47	3.031	50
30.70	2.912	100
38.05	2.365	87
40.70	2.217	83
42.70	2.118	25
48.85	1.865	25
54.90	1.672	32
70.54	1.335	33

Crystal structure
Cell lengths 4.7302, 4.7302, 11.8417 Å; angles 90.00, 90.00, 90.00 degrees
Atoms (fractional coordinates):
Sr 0.0000 0.5000 0.2188
Sr 0.5000 0.0000 0.7812
Sm 0.0000 0.0000 0.5000
Bi 0.0000 0.5000 0.8741
Bi 0.5000 0.0000 0.1259
Bi 0.5000 0.5000 0.5000
Pd 0.0000 0.0000 0.0000
Pd 0.0000 0.5000 0.6433
Pd 0.5000 0.0000 0.3567
Pd 0.5000 0.5000 0.0000